CsTbMnSe3: calculated PXRD pattern (Cu Kα, 1.54184 Å), based on a DFT-relaxed cell (PBE, Alexandria).

Atomic structure:
```
data_CsTbMnSe3
_chemical_formula_sum 'Cs4 Tb4 Mn4 Se12'
_cell_length_a 4.2468
_cell_length_b 16.2341
_cell_length_c 11.1296
_cell_angle_alpha 90.00
_cell_angle_beta 90.00
_cell_angle_gamma 90.00
_space_group_name_H-M_alt 'C m c m'
_space_group_IT_number 63
_space_group_name_Hall '-C 2c 2'
loop_
_atom_site_label
_atom_site_type_symbol
_atom_site_fract_x
_atom_site_fract_y
_atom_site_fract_z
Cs1 Cs 0.0000 0.2420 0.2500
Tb1 Tb 0.0000 0.5000 0.0000
Mn1 Mn 0.0000 0.0366 0.7500
Se1 Se 0.0000 0.1158 0.5588
Se2 Se 0.0000 0.4452 0.7500
```

Main lines, low angle first (10° ≤ 2θ ≤ 90°):
| 2θ (°) | Rel. int. |
| --- | --- |
| 10.90 | 72 |
| 19.34 | 53 |
| 26.68 | 50 |
| 27.88 | 100 |
| 31.23 | 41 |
| 32.17 | 42 |
| 38.47 | 58 |
| 49.18 | 36 |